# LiSbAs2
Calculated X-ray diffraction stick pattern, Cu Ka. Input: a crystal structure in Alexandria, relaxed with PBE.
No peak broadening, texture or thermal motion is included.

Largest 10 diffraction maxima, low angle first, 2θ from 10° to 80°:
2θ/deg	d_spacing	I (rel.)
19.20	4.623	67.1
30.76	2.906	41.8
33.28	2.692	100.0
38.96	2.312	64.6
39.53	2.280	62.1
46.80	1.941	19.0
48.73	1.869	16.8
62.88	1.478	30.9
64.08	1.453	29.2
74.83	1.269	18.5

Structure:
```
LiSbAs2
1.0
5.7545 0.0000 0.0000
0.0000 7.7648 0.0000
0.0000 0.0000 3.7371
Li Sb As
2 2 4
direct
0.0000 0.0000 0.0000
0.5000 0.5000 0.0000
0.0000 0.5000 0.0000
0.5000 0.0000 0.0000
0.2500 0.2500 0.5000
0.2500 0.7500 0.5000
0.7500 0.2500 0.5000
0.7500 0.7500 0.5000
```

---

# ErSi2RuRh
Calculated X-ray diffraction stick pattern, Cu Ka. Input: a crystal structure in Alexandria, relaxed with PBE.
No peak broadening, texture or thermal motion is included.

Largest 10 diffraction maxima, low angle first, 2θ from 10° to 80°:
2θ/deg	d_spacing	I (rel.)
23.49	3.788	32.3
35.27	2.544	32.3
35.99	2.495	100.0
37.01	2.429	16.7
44.03	2.057	37.6
57.63	1.599	15.6
58.84	1.569	17.3
64.03	1.454	12.2
66.04	1.415	17.0
75.70	1.256	22.5

Structure:
```
ErSi2RuRh
1.0
4.1132 0.0000 0.0000
0.0000 4.1132 0.0000
0.0000 0.0000 9.7148
Er Si Ru Rh
2 4 2 2
direct
0.0000 0.0000 0.0000
0.5000 0.5000 0.5000
0.0000 0.0000 0.3739
0.0000 0.0000 0.6261
0.5000 0.5000 0.1261
0.5000 0.5000 0.8739
0.0000 0.5000 0.7500
0.5000 0.0000 0.2500
0.0000 0.5000 0.2500
0.5000 0.0000 0.7500
```

---

# MnInW2
Calculated X-ray diffraction stick pattern, Cu Ka. Input: a crystal structure in Alexandria, relaxed with PBE.
No peak broadening, texture or thermal motion is included.

Largest 10 diffraction maxima, low angle first, 2θ from 10° to 80°:
2θ/deg	d_spacing	I (rel.)
10.02	8.829	37.9
35.29	2.543	11.6
39.45	2.284	25.9
39.60	2.276	100.0
40.88	2.208	24.1
56.38	1.632	9.1
58.11	1.587	15.0
71.64	1.317	17.2
71.95	1.312	9.1
73.59	1.287	13.0

Structure:
```
MnInW2
1.0
3.2637 0.0000 0.0000
0.0000 4.5688 0.0000
0.0000 0.0000 8.8288
Mn In W
2 2 4
direct
0.0000 0.0000 0.0000
0.5000 0.5000 0.0000
0.0000 0.5000 0.2528
0.5000 0.0000 0.2528
0.0000 0.0000 0.5298
0.0000 0.5000 0.7780
0.5000 0.0000 0.7780
0.5000 0.5000 0.5298
```

---

# Dy4HoRu2
Calculated X-ray diffraction stick pattern, Cu Ka. Input: a crystal structure in Alexandria, relaxed with PBE.
No peak broadening, texture or thermal motion is included.

Largest 10 diffraction maxima, low angle first, 2θ from 10° to 80°:
2θ/deg	d_spacing	I (rel.)
30.86	2.898	100.0
31.43	2.846	40.6
31.57	2.834	29.9
31.76	2.817	33.2
34.20	2.621	44.6
34.68	2.587	55.8
36.55	2.458	40.6
36.72	2.447	26.9
37.91	2.374	41.0
58.31	1.582	26.8

Structure:
```
Dy4HoRu2
1.0
7.7731 0.0000 0.0000
0.0000 6.3295 0.0000
-3.0235 0.0000 7.2708
Dy Ho Ru
8 2 4
direct
0.1228 0.2500 0.4793
0.1760 0.7500 0.2539
0.2579 0.5013 0.9143
0.2579 0.9987 0.9143
0.7421 0.0013 0.0857
0.7421 0.4987 0.0857
0.8240 0.2500 0.7461
0.8772 0.7500 0.5207
0.4733 0.2500 0.3358
0.5267 0.7500 0.6642
0.0873 0.2500 0.1250
0.4786 0.2500 0.7565
0.5214 0.7500 0.2435
0.9127 0.7500 0.8750
```

---

# LaAs5
Calculated X-ray diffraction stick pattern, Cu Ka. Input: a crystal structure in Alexandria, relaxed with PBE.
No peak broadening, texture or thermal motion is included.

Largest 10 diffraction maxima, low angle first, 2θ from 10° to 80°:
2θ/deg	d_spacing	I (rel.)
22.77	3.905	14.1
26.36	3.381	16.8
27.45	3.249	12.3
31.14	2.873	34.3
32.38	2.765	100.0
36.05	2.492	11.0
37.69	2.387	43.4
41.59	2.172	12.4
43.27	2.091	26.5
54.26	1.690	14.0

Structure:
```
LaAs5
1.0
11.1433 0.0000 0.0000
0.0000 4.1817 0.0000
-0.7840 0.0000 6.2332
La As
2 10
direct
0.0000 0.0000 0.0000
0.5000 0.5000 0.0000
0.0874 0.5000 0.6781
0.1421 0.5000 0.3187
0.2840 0.0000 0.3074
0.2913 0.0000 0.9194
0.4580 0.5000 0.5075
0.5874 0.0000 0.6781
0.6421 0.0000 0.3187
0.7840 0.5000 0.3074
0.7913 0.5000 0.9194
0.9580 0.0000 0.5075
```

---

# Tm4ThZn
Calculated X-ray diffraction stick pattern, Cu Ka. Input: a crystal structure in Alexandria, relaxed with PBE.
No peak broadening, texture or thermal motion is included.

Largest 10 diffraction maxima, low angle first, 2θ from 10° to 80°:
2θ/deg	d_spacing	I (rel.)
28.57	3.125	22.4
32.24	2.777	100.0
33.07	2.709	12.6
36.06	2.490	45.7
49.73	1.833	16.3
51.92	1.761	16.3
54.89	1.673	11.6
60.69	1.526	14.6
62.45	1.487	30.4
62.95	1.476	8.1

Structure:
```
Tm4ThZn
1.0
3.5221 0.0000 0.0000
0.0000 3.5221 0.0000
0.0000 0.0000 13.5438
Tm Th Zn
4 1 1
direct
0.0000 0.0000 0.1284
0.0000 0.0000 0.8716
0.5000 0.5000 0.3192
0.5000 0.5000 0.6808
0.0000 0.0000 0.5000
0.5000 0.5000 0.0000
```

---

# Mn2Hg2Cl7
Calculated X-ray diffraction stick pattern, Cu Ka. Input: a crystal structure in Alexandria, relaxed with PBE.
No peak broadening, texture or thermal motion is included.

Largest 10 diffraction maxima, low angle first, 2θ from 10° to 80°:
2θ/deg	d_spacing	I (rel.)
11.49	7.701	47.2
14.81	5.980	32.4
17.80	4.984	41.3
18.41	4.820	78.0
19.73	4.499	100.0
23.10	3.851	37.5
28.86	3.093	49.2
30.01	2.978	42.9
31.89	2.806	73.0
32.69	2.739	51.5

Structure:
```
Mn2Hg2Cl7
1.0
6.1765 0.0000 0.0000
-1.4327 6.1045 0.0000
-0.2923 -2.3199 7.7014
Mn Hg Cl
2 2 7
direct
0.1244 0.2535 0.4440
0.8756 0.7465 0.5560
0.4135 0.3228 0.0502
0.5865 0.6772 0.9498
0.0037 0.5272 0.7138
0.2298 0.0277 0.6119
0.2487 0.0020 0.1562
0.5000 0.5000 0.5000
0.7513 0.9980 0.8438
0.7702 0.9723 0.3881
0.9963 0.4728 0.2862
```

---

# LiTm7In4
Calculated X-ray diffraction stick pattern, Cu Ka. Input: a crystal structure in Alexandria, relaxed with PBE.
No peak broadening, texture or thermal motion is included.

Largest 10 diffraction maxima, low angle first, 2θ from 10° to 80°:
2θ/deg	d_spacing	I (rel.)
23.38	3.805	44.5
26.31	3.388	19.9
32.84	2.727	65.8
33.75	2.656	41.0
34.87	2.573	100.0
36.08	2.490	82.7
47.81	1.902	30.8
59.95	1.543	20.8
60.76	1.524	18.1
64.79	1.439	14.9

Structure:
```
LiTm7In4
1.0
7.1696 -2.7269 0.0000
7.1696 2.7269 0.0000
-6.6269 0.0000 8.7931
Li Tm In
1 7 4
direct
0.0000 0.0000 0.0000
0.0699 0.0699 0.3360
0.2190 0.2190 0.8708
0.3391 0.3391 0.4024
0.5000 0.5000 0.0000
0.6609 0.6609 0.5976
0.7810 0.7810 0.1292
0.9301 0.9301 0.6640
0.3003 0.3003 0.6636
0.4333 0.4333 0.2209
0.5667 0.5667 0.7791
0.6997 0.6997 0.3364
```

---

- Number 3 is which compound?
  MnInW2